Starting from a crystal structure in Alexandria, relaxed with PBE, the XRD peak list of LaSi2P3 was computed for Cu Kα X-rays.
Peak positions follow from Bragg's law for the DFT cell and can differ from measured ones.

Structural model:
Cell lengths 6.2891, 6.2891, 6.5507 Å; angles 90.00, 90.00, 120.00 degrees
Sites, in units of the cell vectors:
La 0.0000 0.0000 0.0000
La 0.0000 0.0000 0.5000
Si 0.3333 0.6667 0.0000
Si 0.3333 0.6667 0.5000
Si 0.6667 0.3333 0.0000
Si 0.6667 0.3333 0.5000
P 0.0000 0.3993 0.2500
P 0.0000 0.6007 0.7500
P 0.3993 0.0000 0.2500
P 0.3993 0.3993 0.7500
P 0.6007 0.0000 0.7500
P 0.6007 0.6007 0.2500

The 6 most intense peaks (2θ = 10–80°), in order of rising 2θ:
index, d_spacing, Position (°2θ), I/Imax
1 0 0, 5.447, 16.27, 62
1 1 0, 3.145, 28.38, 54
1 0 2, 2.807, 31.88, 54
2 0 0, 2.723, 32.89, 38
1 1 2, 2.268, 39.74, 100
3 0 0, 1.816, 50.25, 27